Cu2BrCl6: computed powder XRD pattern (copper Kα), based on a crystal structure in Alexandria, relaxed with GGA-PBE.
Neutral-atom scattering factors, no anomalous dispersion.

```
Cu2BrCl6
1.0
6.4928 -5.2796 0.0000
6.4928 5.2796 0.0000
-0.3587 0.0000 7.3517
Cu Br Cl
4 2 12
Cartesian
2.6687 0.6711 1.9550
2.4894 -0.6711 5.6309
10.1375 0.6711 1.7208
9.9582 -0.6711 5.3967
6.2238 0.7096 5.5138
6.4031 -0.7096 1.8379
1.3543 0.1321 7.3190
1.5336 -0.1321 3.6432
4.4790 2.3252 5.2972
4.7460 1.2974 1.6023
7.9686 2.3252 5.7304
4.5667 -1.2974 5.2782
8.0603 1.2974 2.0735
4.6583 -2.3252 1.6213
7.8809 -1.2974 5.7494
8.1480 -2.3252 2.0545
11.0933 0.1321 3.7086
11.2727 -0.1321 0.0327
```

The 12 most intense peaks (2θ = 10–90°), sorted by position:
2θ 16.79, rel. 74
2θ 22.22, rel. 84
2θ 24.21, rel. 100
2θ 24.56, rel. 52
2θ 25.22, rel. 53
2θ 26.26, rel. 54
2θ 26.89, rel. 42
2θ 32.81, rel. 37
2θ 38.59, rel. 35
2θ 40.00, rel. 33
2θ 41.71, rel. 38
2θ 44.64, rel. 43